No. 1
Structure and theoretical PXRD pattern of Tb4Ni13C4 (a structure optimized by DFT (GGA-PBE); Cu Kα).
No peak broadening, texture or thermal motion is included.

Crystal structure
Cell: 11.763 12.026 3.869 Å, 90.00 90.00 90.00°
Space group Cmmm (No. 65)
Symmetry-distinct sites (fractional):
Tb: 0.000 0.187 0.000 x4
Tb: 0.151 0.500 0.000 x4
Ni: 0.000 0.000 0.500 x2
Ni: 0.107 0.323 0.500 x8
Ni: 0.124 0.000 0.000 x4
Ni: 0.183 0.108 0.500 x8
Ni: 0.250 0.250 0.000 x4
C: 0.000 0.443 0.500 x4
C: 0.250 0.250 0.500 x4

Most intense lines, 2θ = 15–90°, low angle first:
33.07°, d = 2.709 Å, rel. 75, (1 3 1); 33.38°, d = 2.685 Å, rel. 39, (3 1 1); 33.94°, d = 2.642 Å, rel. 29, (4 2 0); 37.90°, d = 2.374 Å, rel. 47, (0 4 1); 41.00°, d = 2.201 Å, rel. 21, (2 4 1); 41.39°, d = 2.182 Å, rel. 100, (4 2 1); 44.18°, d = 2.050 Å, rel. 39, (3 5 0); 44.66°, d = 2.029 Å, rel. 22, (5 3 0); 46.97°, d = 1.935 Å, rel. 46, (0 0 2); 66.45°, d = 1.407 Å, rel. 22, (3 5 2)

=====

No. 2
Structure and theoretical PXRD pattern of PrNdZn6Sn3 (a structure optimized by DFT (GGA-PBE); Cu Kα).
No peak broadening, texture or thermal motion is included.

Crystal structure
Cell: 8.0090 8.0090 4.2861 Å, 90.00 90.00 120.00°
Space group P-6 (No. 174)
Symmetry-distinct sites (fractional):
Pr: 0.0000 0.0000 0.0000 x1
Nd: 0.6667 0.3333 0.0000 x1
Zn: 0.0595 0.6682 0.5000 x3
Zn: 0.1503 0.4852 0.0000 x3
Sn: 0.3353 0.0565 0.5000 x3

Most intense lines, 2θ = 15–90°, low angle first:
30.55°, d = 2.926 Å, rel. 100, (1 1 1); 33.23°, d = 2.696 Å, rel. 18, (2 0 1); 34.20°, d = 2.622 Å, rel. 23, (2 1 0); 38.96°, d = 2.312 Å, rel. 30, (3 0 0); 40.33°, d = 2.236 Å, rel. 58, (2 1 1); 42.17°, d = 2.143 Å, rel. 26, (0 0 2); 47.25°, d = 1.924 Å, rel. 20, (3 1 0); 50.30°, d = 1.814 Å, rel. 16, (2 2 1); 58.75°, d = 1.572 Å, rel. 18, (3 0 2); 65.39°, d = 1.427 Å, rel. 16, (4 1 1)

=====

No. 3
Structure and theoretical PXRD pattern of GdZrNO (a structure optimized by DFT (GGA-PBE); Cu Kα).
No peak broadening, texture or thermal motion is included.

Crystal structure
Cell: 4.727 3.891 6.744 Å, 90.00 90.00 90.00°
Space group Pmma (No. 51)
Symmetry-distinct sites (fractional):
Gd: 0.250 0.000 0.161 x2
Zr: 0.250 0.500 0.665 x2
N: 0.250 0.500 0.354 x2
O: 0.250 0.000 0.805 x2

Most intense lines, 2θ = 15–90°, low angle first:
26.44°, d = 3.371 Å, rel. 48, (0 1 1); 32.63°, d = 2.745 Å, rel. 100, (1 0 2); 38.07°, d = 2.364 Å, rel. 24, (2 0 0); 46.67°, d = 1.946 Å, rel. 38, (0 2 0); 46.95°, d = 1.935 Å, rel. 19, (2 1 1); 58.11°, d = 1.588 Å, rel. 20, (1 2 2); 61.74°, d = 1.502 Å, rel. 32, (2 2 0); 65.38°, d = 1.427 Å, rel. 14, (3 0 2); 77.61°, d = 1.230 Å, rel. 18, (1 1 5); 84.10°, d = 1.151 Å, rel. 7, (3 2 2)

=====

No. 4
Structure and theoretical PXRD pattern of HfZr (a structure optimized by DFT (GGA-PBE); Cu Kα).
No peak broadening, texture or thermal motion is included.

Crystal structure
Cell: 5.118 6.425 5.561 Å, 90.00 90.00 90.00°
Space group Pmm2 (No. 25)
Symmetry-distinct sites (fractional):
Hf: 0.000 0.000 0.000 x1
Hf: 0.000 0.247 0.497 x2
Hf: 0.500 0.000 0.329 x1
Zr: 0.000 0.500 0.996 x1
Zr: 0.500 0.247 0.830 x2
Zr: 0.500 0.500 0.335 x1

Most intense lines, 2θ = 15–90°, low angle first:
32.19°, d = 2.781 Å, rel. 25, (0 2 1); 35.07°, d = 2.559 Å, rel. 25, (2 0 0); 36.78°, d = 2.444 Å, rel. 100, (1 2 1); 48.33°, d = 1.883 Å, rel. 16, (2 2 1); 57.39°, d = 1.606 Å, rel. 18, (0 4 0); 64.03°, d = 1.454 Å, rel. 20, (3 2 1); 69.06°, d = 1.360 Å, rel. 21, (2 4 0); 70.13°, d = 1.342 Å, rel. 15, (1 4 2); 78.24°, d = 1.222 Å, rel. 4, (2 4 2); 83.10°, d = 1.162 Å, rel. 3, (4 2 1)

=====

No. 5
Structure and theoretical PXRD pattern of Zr4Sc2Fe3C3 (a structure optimized by DFT (GGA-PBE); Cu Kα).
No peak broadening, texture or thermal motion is included.

Crystal structure
Cell: 9.883 5.710 13.973 Å, 90.00 104.21 90.00°
Space group C2/c (No. 15)
Symmetry-distinct sites (fractional):
Zr: 0.115 0.090 0.092 x8
Zr: 0.220 0.084 0.406 x8
Sc: 0.046 0.419 0.895 x8
Fe: 0.000 0.211 0.250 x4
Fe: 0.213 0.373 0.249 x8
C: 0.084 0.249 0.503 x8
C: 0.250 0.250 0.000 x4

Most intense lines, 2θ = 15–90°, low angle first:
18.47°, d = 4.802 Å, rel. 52, (2 0 0); 31.35°, d = 2.854 Å, rel. 33, (3 1 -1); 32.02°, d = 2.795 Å, rel. 28, (3 1 -2); 37.13°, d = 2.422 Å, rel. 87, (3 1 -4); 37.26°, d = 2.413 Å, rel. 100, (0 2 3); 37.43°, d = 2.403 Å, rel. 86, (3 1 2); 39.94°, d = 2.257 Å, rel. 58, (0 0 6); 41.36°, d = 2.183 Å, rel. 19, (0 2 4); 55.79°, d = 1.648 Å, rel. 59, (3 3 -1); 71.01°, d = 1.327 Å, rel. 23, (3 3 5)

=====

No. 6
Structure and theoretical PXRD pattern of InTcAgSe3 (a structure optimized by DFT (GGA-PBE); Cu Kα).
No peak broadening, texture or thermal motion is included.

Crystal structure
Cell: 3.403 16.202 9.954 Å, 90.00 90.00 90.00°
Space group Cmcm (No. 63)
Symmetry-distinct sites (fractional):
In: 0.000 0.169 0.250 x4
Tc: 0.000 0.500 0.000 x4
Ag: 0.000 0.191 0.750 x4
Se: 0.000 0.115 0.522 x8
Se: 0.000 0.468 0.750 x4

Most intense lines, 2θ = 15–90°, low angle first:
20.95°, d = 4.241 Å, rel. 44, (0 2 2); 31.06°, d = 2.879 Å, rel. 100, (1 3 0); 33.18°, d = 2.700 Å, rel. 12, (0 6 0); 36.09°, d = 2.489 Å, rel. 49, (0 0 4); 42.59°, d = 2.123 Å, rel. 50, (1 5 2); 48.35°, d = 1.883 Å, rel. 54, (1 3 4); 48.53°, d = 1.876 Å, rel. 22, (0 8 2); 53.89°, d = 1.701 Å, rel. 15, (2 0 0); 66.58°, d = 1.404 Å, rel. 14, (2 0 4); 84.92°, d = 1.142 Å, rel. 12, (1 3 8)

=====

No. 7
Structure and theoretical PXRD pattern of ZnGa (a structure optimized by DFT (GGA-PBE); Cu Kα).
No peak broadening, texture or thermal motion is included.

Crystal structure
Cell: 4.772 8.713 4.815 Å, 90.00 90.00 90.00°
Space group Pmc2_1 (No. 26)
Symmetry-distinct sites (fractional):
Zn: 0.000 0.082 0.000 x2
Zn: 0.000 0.240 0.508 x2
Zn: 0.500 0.246 0.830 x2
Ga: 0.000 0.407 0.000 x2
Ga: 0.500 0.086 0.326 x2
Ga: 0.500 0.414 0.345 x2

Most intense lines, 2θ = 15–90°, low angle first:
36.12°, d = 2.487 Å, rel. 25, (0 3 1); 37.35°, d = 2.408 Å, rel. 10, (0 0 2); 37.70°, d = 2.386 Å, rel. 43, (2 0 0); 40.92°, d = 2.205 Å, rel. 100, (1 3 1); 42.03°, d = 2.150 Å, rel. 48, (1 0 2); 53.20°, d = 1.722 Å, rel. 16, (2 3 1); 66.57°, d = 1.405 Å, rel. 15, (0 3 3); 70.25°, d = 1.340 Å, rel. 19, (3 3 1); 79.11°, d = 1.211 Å, rel. 18, (2 3 3); 79.69°, d = 1.203 Å, rel. 13, (1 6 2)

=====

No. 8
Structure and theoretical PXRD pattern of Ba6Nb2IrCl2O12 (a structure optimized by DFT (GGA-PBE); Cu Kα).
No peak broadening, texture or thermal motion is included.

Crystal structure
Cell: 5.9251 5.9251 14.8582 Å, 90.00 90.00 120.00°
Space group P-3m1 (No. 164)
Symmetry-distinct sites (fractional):
Ba: 0.3333 0.6667 0.0724 x2
Ba: 0.3333 0.6667 0.3691 x2
Ba: 0.3333 0.6667 0.7891 x2
Nb: 0.0000 0.0000 0.1872 x2
Ir: 0.0000 0.0000 0.0000 x1
Cl: 0.3333 0.6667 0.5794 x2
O: 0.1563 0.3127 0.9169 x6
O: 0.1645 0.3291 0.2445 x6

Most intense lines, 2θ = 15–90°, low angle first:
18.29°, d = 4.850 Å, rel. 31, (0 1 1); 24.99°, d = 3.564 Å, rel. 37, (1 0 3); 29.69°, d = 3.009 Å, rel. 44, (0 1 4); 30.16°, d = 2.963 Å, rel. 100, (1 1 0); 39.56°, d = 2.278 Å, rel. 26, (0 2 3); 42.84°, d = 2.111 Å, rel. 21, (2 0 4); 43.12°, d = 2.098 Å, rel. 22, (1 1 5); 53.28°, d = 1.719 Å, rel. 16, (1 2 4); 53.58°, d = 1.710 Å, rel. 18, (3 0 0); 62.71°, d = 1.482 Å, rel. 23, (2 2 0)